Structure and theoretical powder diffraction line list of LaCrPd4 (a crystal structure in Alexandria, relaxed with GGA-PBE; a wavelength of 1.5418 Å).

The 6 most intense peaks (10° ≤ 2θ ≤ 80°), by angle:
2θ (°), d/Å, intensity
20.09, 4.421, 14
33.09, 2.707, 23
39.01, 2.309, 100
40.82, 2.210, 45
63.09, 1.474, 32
69.44, 1.354, 27

Atomic structure:
Unit cell a=5.4143 b=5.4143 c=5.4143 alpha=60.00 beta=60.00 gamma=60.00
Element x y z (fractional)
La 0.0000 0.0000 0.0000
Cr 0.2500 0.2500 0.2500
Pd 0.1268 0.6244 0.6244
Pd 0.6244 0.1268 0.6244
Pd 0.6244 0.6244 0.1268
Pd 0.6244 0.6244 0.6244

Structure and theoretical powder diffraction line list of La4CrPt (a crystal structure in Alexandria, relaxed with GGA-PBE; a wavelength of 1.5418 Å).

The 6 most intense peaks (10° ≤ 2θ ≤ 80°), by angle:
2θ (°), d/Å, intensity
28.48, 3.134, 22
33.52, 2.673, 100
35.06, 2.559, 45
53.72, 1.706, 35
58.93, 1.567, 29
70.45, 1.337, 18

Atomic structure:
Unit cell a=6.2689 b=6.2689 c=6.2689 alpha=60.00 beta=60.00 gamma=60.00
Element x y z (fractional)
La 0.1242 0.1242 0.1242
La 0.1242 0.1242 0.6273
La 0.1242 0.6273 0.1242
La 0.6273 0.1242 0.1242
Cr 0.5000 0.5000 0.5000
Pt 0.7500 0.7500 0.7500

Structure and theoretical powder diffraction line list of La2CrPt (a crystal structure in Alexandria, relaxed with GGA-PBE; a wavelength of 1.5418 Å).

The 6 most intense peaks (10° ≤ 2θ ≤ 80°), by angle:
2θ (°), d/Å, intensity
30.49, 2.931, 100
32.32, 2.770, 40
37.49, 2.399, 32
38.07, 2.364, 60
39.73, 2.269, 28
52.12, 1.755, 21

Atomic structure:
Unit cell a=4.5371 b=6.0109 c=6.0109 alpha=39.72 beta=90.00 gamma=90.00
Element x y z (fractional)
La 0.0000 0.0000 0.0000
La 0.5000 0.2856 0.2856
Cr 0.0000 0.7124 0.7124
Pt 0.5000 0.5718 0.5718

Structure and theoretical powder diffraction line list of Rb4LaCr2 (a crystal structure in Alexandria, relaxed with GGA-PBE; a wavelength of 1.5418 Å).

The 6 most intense peaks (10° ≤ 2θ ≤ 80°), by angle:
2θ (°), d/Å, intensity
18.51, 4.792, 41
19.93, 4.455, 42
26.30, 3.389, 100
28.29, 3.154, 65
33.22, 2.697, 46
39.00, 2.310, 62

Atomic structure:
Unit cell a=10.1161 b=10.1161 c=10.1161 alpha=140.86 beta=140.86 gamma=56.56
Element x y z (fractional)
Rb 0.0000 0.5000 0.5000
Rb 0.2187 0.2187 0.0000
Rb 0.5000 0.0000 0.5000
Rb 0.7813 0.7813 0.0000
La 0.0000 0.0000 0.0000
Cr 0.4195 0.4195 0.0000
Cr 0.5805 0.5805 0.0000

Structure and theoretical powder diffraction line list of La4CrS7 (a crystal structure in Alexandria, relaxed with GGA-PBE; a wavelength of 1.5418 Å).

The 6 most intense peaks (10° ≤ 2θ ≤ 80°), by angle:
2θ (°), d/Å, intensity
20.96, 4.238, 55
23.02, 3.863, 36
25.08, 3.550, 50
28.37, 3.146, 49
36.61, 2.454, 100
44.16, 2.051, 60

Atomic structure:
Unit cell a=10.8453 b=10.8453 c=6.7946 alpha=90.00 beta=90.00 gamma=120.00
Element x y z (fractional)
La 0.0000 0.0000 0.0000
La 0.0000 0.0000 0.5000
La 0.1179 0.4223 0.4920
La 0.3044 0.8821 0.4920
La 0.4223 0.3044 0.9920
La 0.5777 0.6956 0.4920
La 0.6956 0.1179 0.9920
La 0.8821 0.5777 0.9920
Cr 0.3333 0.6667 0.9132
Cr 0.6667 0.3333 0.4132
S 0.0564 0.8200 0.2491
S 0.1264 0.6367 0.7476
S 0.1800 0.2364 0.2491
S 0.2364 0.0564 0.7491
S 0.3333 0.6667 0.2687
S 0.3633 0.4897 0.7476
S 0.4897 0.1264 0.2476
S 0.5103 0.8736 0.7476
S 0.6367 0.5103 0.2476
S 0.6667 0.3333 0.7687
S 0.7636 0.9436 0.2491
S 0.8200 0.7636 0.7491
S 0.8736 0.3633 0.2476
S 0.9436 0.1800 0.7491

Structure and theoretical powder diffraction line list of La6CrSi2S14 (a crystal structure in Alexandria, relaxed with GGA-PBE; a wavelength of 1.5418 Å).

The 6 most intense peaks (10° ≤ 2θ ≤ 80°), by angle:
2θ (°), d/Å, intensity
23.05, 3.859, 47
25.12, 3.545, 100
36.08, 2.489, 53
36.99, 2.430, 34
39.41, 2.287, 58
41.02, 2.200, 34

Atomic structure:
Unit cell a=10.3643 b=10.3643 c=5.7823 alpha=90.00 beta=90.00 gamma=120.00
Element x y z (fractional)
La 0.0224 0.4565 0.0000
La 0.3102 0.2116 0.4962
La 0.4341 0.9776 0.0000
La 0.5435 0.5659 0.0000
La 0.7884 0.0986 0.4962
La 0.9014 0.6898 0.4962
Cr 0.6667 0.3333 0.7347
Si 0.0000 0.0000 0.0796
Si 0.3333 0.6667 0.5866
S 0.0000 0.0000 0.7154
S 0.0739 0.2177 0.2206
S 0.1438 0.9261 0.2206
S 0.1915 0.7430 0.7262
S 0.2570 0.4485 0.7262
S 0.3333 0.6667 0.2220
S 0.4279 0.2510 0.9708
S 0.5080 0.0949 0.5009
S 0.5515 0.8085 0.7262
S 0.5869 0.4920 0.5009
S 0.7490 0.1769 0.9708
S 0.7823 0.8562 0.2206
S 0.8231 0.5721 0.9708
S 0.9051 0.4131 0.5009

Structure and theoretical powder diffraction line list of Sr2LaCr (a crystal structure in Alexandria, relaxed with GGA-PBE; a wavelength of 1.5418 Å).

The 6 most intense peaks (10° ≤ 2θ ≤ 80°), by angle:
2θ (°), d/Å, intensity
24.32, 3.659, 28
28.93, 3.086, 100
32.17, 2.783, 60
35.40, 2.535, 25
42.41, 2.131, 26
55.38, 1.659, 34

Atomic structure:
Unit cell a=3.9368 b=3.9339 c=9.9459 alpha=90.00 beta=90.00 gamma=90.00
Element x y z (fractional)
Sr 0.0000 0.0000 0.0000
Sr 0.4990 0.5000 0.6649
La 0.0005 0.0000 0.3695
Cr 0.5004 0.5000 0.2137

Structure and theoretical powder diffraction line list of La2TaCr (a crystal structure in Alexandria, relaxed with GGA-PBE; a wavelength of 1.5418 Å).

The 6 most intense peaks (10° ≤ 2θ ≤ 80°), by angle:
2θ (°), d/Å, intensity
30.51, 2.930, 28
33.87, 2.646, 15
34.11, 2.629, 31
34.63, 2.591, 100
61.39, 1.510, 19
61.90, 1.499, 15

Atomic structure:
Unit cell a=6.1775 b=6.1775 c=6.1775 alpha=146.11 beta=129.63 gamma=62.09
Element x y z (fractional)
La 0.0000 0.0000 0.0000
La 0.7250 0.2250 0.5000
Ta 0.2934 0.7934 0.5000
Cr 0.4550 0.4550 0.0000